(1)
Diffraction record for Dy3Pt. The XRD peak list is simulated, not measured: it uses the GGA-PBE geometry in the Materials Project and Cu Kα X-rays.
No peak broadening, texture or thermal motion is included.

Structure:
abc: 7.028 9.595 6.529
angles: 90.00 90.00 90.00
Space group Pnma (No. 62)
One atom of each set of equivalent atoms:
Dy  0.028  0.250  0.133 (multiplicity 4)
Dy  0.180  0.061  0.679 (multiplicity 8)
Pt  0.111  0.750  0.449 (multiplicity 4)

The 6 most intense peaks (2θ = 5–70°), most intense first:
Position (°2θ)	Rel. int.
31.6	100
31.1	40
34.5	39
33.7	39
38.0	29
33.2	25

(2)
Diffraction record for Lu2InPd2. The XRD peak list is simulated, not measured: it uses the GGA-PBE geometry in the Materials Project and Cu Kα X-rays.
No peak broadening, texture or thermal motion is included.

Structure:
abc: 7.653 7.653 3.632
angles: 90.00 90.00 90.00
Space group P4/mbm (No. 127)
One atom of each set of equivalent atoms:
Lu  0.171  0.329  0.000 (multiplicity 4)
In  0.000  0.000  0.500 (multiplicity 2)
Pd  0.129  0.629  0.500 (multiplicity 4)

The 6 most intense peaks (2θ = 5–70°), most intense first:
Position (°2θ)	Rel. int.
36.1	100
37.2	42
34.0	31
64.1	17
55.6	15
50.2	13